Structure and computed powder X-ray diffraction pattern of Nd2ReB5Os2 (a GGA-PBE-relaxed structure; Cu Ka).
Lines closer than 0.1° are merged.

Main lines, most intense first (2θ from 15° to 90°):
2.944 Å, I = 100, (1 1 1); 2.588 Å, I = 64, (3 1 -2); 2.697 Å, I = 53, (2 0 -3); 2.553 Å, I = 34, (4 0 -1); 2.218 Å, I = 28, (1 1 2); 2.664 Å, I = 27, (3 1 -1); 2.118 Å, I = 21, (2 0 2); 1.957 Å, I = 20, (0 2 1); 1.819 Å, I = 19, (2 2 -2); 3.638 Å, I = 18, (1 1 -1)

Atomic structure:
```
data_Nd2ReB5Os2
_chemical_formula_sum 'Nd4 Re2 B10 Os4'
_space_group_name_H-M_alt 'C 1 2 1'
_space_group_IT_number 5
_space_group_name_Hall 'C 2y'
_cell_length_a 10.669
_cell_length_b 4.095
_cell_length_c 8.120
_cell_angle_alpha 90.00
_cell_angle_beta 125.17
_cell_angle_gamma 90.00
loop_
_atom_site_label
_atom_site_fract_x
_atom_site_fract_y
_atom_site_fract_z
Nd1 0.163 0.000 0.257
Re1 0.000 0.223 0.500
B1 0.000 0.498 0.000
B2 0.025 0.729 0.619
B3 0.144 0.001 0.812
Os1 0.133 0.488 0.903
```

Structure and computed powder X-ray diffraction pattern of PuIr2 (a GGA-PBE-relaxed structure; Cu Ka).
Lines closer than 0.1° are merged.

Main lines, most intense first (2θ from 15° to 90°):
2.284 Å, I = 100, (3 1 1); 2.678 Å, I = 34, (2 2 0); 2.187 Å, I = 33, (2 2 2); 1.458 Å, I = 33, (5 1 1); 1.339 Å, I = 28, (4 4 0); 1.546 Å, I = 13, (4 2 2); 1.142 Å, I = 13, (6 2 2); 1.155 Å, I = 12, (5 3 3); 1.198 Å, I = 6, (6 2 0); 1.894 Å, I = 2, (4 0 0)

Atomic structure:
abc: 7.575 7.575 7.575
angles: 90.00 90.00 90.00
Space group Fd-3m (No. 227, origin choice 2)
Asymmetric unit:
Pu 0.125 0.125 0.125 (multiplicity 8)
Ir 0.000 0.000 0.500 (multiplicity 16)

Structure and computed powder X-ray diffraction pattern of SmSeO3 (a GGA-PBE-relaxed structure; Cu Ka).
Lines closer than 0.1° are merged.

Main lines, most intense first (2θ from 15° to 90°):
2.857 Å, I = 100, (2 0 0); 1.649 Å, I = 45, (3 1 2); 2.021 Å, I = 17, (2 2 0); 1.428 Å, I = 16, (2 2 4); 1.278 Å, I = 12, (4 2 0); 2.016 Å, I = 10, (0 0 4); 2.332 Å, I = 9, (2 0 2); 4.040 Å, I = 9, (1 1 0); 1.276 Å, I = 5, (1 1 6); 1.166 Å, I = 5, (4 0 4)

Atomic structure:
```
data_SmSeO3
_chemical_formula_sum 'Sm4 Se4 O12'
_space_group_name_H-M_alt 'I 4/m c m'
_space_group_IT_number 140
_space_group_name_Hall '-I 4 2c'
_cell_length_a 5.718
_cell_length_b 5.718
_cell_length_c 8.066
_cell_angle_alpha 90.00
_cell_angle_beta 90.00
_cell_angle_gamma 90.00
loop_
_atom_site_label
_atom_site_fract_x
_atom_site_fract_y
_atom_site_fract_z
Sm1 0.000 0.500 0.250
Se1 0.000 0.000 0.000
O1 0.000 0.000 0.250
O2 0.168 0.332 0.000
```

Structure and computed powder X-ray diffraction pattern of NaSr2PtN2 (a GGA-PBE-relaxed structure; Cu Ka).
Lines closer than 0.1° are merged.

Main lines, most intense first (2θ from 15° to 90°):
2.785 Å, I = 100, (0 1 2); 2.921 Å, I = 98, (1 1 0); 2.573 Å, I = 80, (1 0 2); 3.838 Å, I = 56, (0 1 1); 1.712 Å, I = 47, (1 2 2); 1.567 Å, I = 35, (2 1 2); 2.696 Å, I = 33, (1 1 1); 2.293 Å, I = 33, (0 2 0); 1.503 Å, I = 32, (1 1 4); 1.401 Å, I = 19, (0 3 2)

Atomic structure:
```
data_NaSr2PtN2
_chemical_formula_sum 'Na1 Sr2 Pt1 N2'
_space_group_name_H-M_alt 'P m m m'
_space_group_IT_number 47
_space_group_name_Hall '-P 2 2'
_cell_length_a 3.789
_cell_length_b 4.585
_cell_length_c 7.012
_cell_angle_alpha 90.00
_cell_angle_beta 90.00
_cell_angle_gamma 90.00
loop_
_atom_site_label
_atom_site_fract_x
_atom_site_fract_y
_atom_site_fract_z
Na1 0.000 0.000 0.000
Sr1 0.500 0.500 0.251
Pt1 0.000 0.000 0.500
N1 0.000 0.500 0.000
N2 0.500 0.000 0.500
```